For NaFeGe2O, the PBE+U geometry in Alexandria gives the theoretical powder diffraction line list in this record (Cu Kα X-rays).
Lines closer than 0.1° are merged.

Largest 10 diffraction maxima, sorted by position, 15° ≤ 2θ ≤ 90°:
2theta, I_rel
20.91, 143
28.99, 99
35.39, 1000
40.34, 455
42.56, 194
58.38, 144
60.08, 262
70.15, 257
73.24, 113
74.88, 131

Structural model:
```
data_NaFeGe2O
_chemical_formula_sum 'Na1 Fe1 Ge2 O1'
_cell_length_a 4.4712
_cell_length_b 4.4712
_cell_length_c 4.2483
_cell_angle_alpha 90.00
_cell_angle_beta 90.00
_cell_angle_gamma 90.00
_symmetry_space_group_name_H-M 'P 4/m m m'
_symmetry_Int_Tables_number 123
_symmetry_space_group_name_Hall '-P 4 2'
loop_
_atom_site_label
_atom_site_type_symbol
_atom_site_fract_x
_atom_site_fract_y
_atom_site_fract_z
Na1 Na 0.0000 0.0000 0.0000
Fe1 Fe 0.5000 0.5000 0.0000
Ge1 Ge 0.0000 0.5000 0.5000
O1 O 0.0000 0.0000 0.5000
```